Simulated XRD peak list
Compound: Li8Ni5O10
Radiation: copper Kα
Structure: a structure optimized by DFT (GGA+U)

Cell and atoms:
a b c (Å): 5.323 5.912 7.946
angles (deg): 69.48 89.91 63.49
Atoms (fractional coordinates):
Li1 0.007 0.207 0.178
Li2 0.188 0.788 0.570
Li3 0.375 0.388 0.000
Li4 0.448 0.970 0.641
Li5 0.552 0.030 0.359
Li6 0.625 0.612 0.000
Li7 0.812 0.212 0.430
Li8 0.993 0.793 0.822
Ni1 0.000 0.500 0.500
Ni2 0.192 0.111 0.896
Ni3 0.397 0.691 0.293
Ni4 0.603 0.309 0.707
Ni5 0.808 0.889 0.104
O1 0.033 0.106 0.655
O2 0.184 0.480 0.752
O3 0.227 0.725 0.048
O4 0.383 0.058 0.144
O5 0.432 0.315 0.467
O6 0.568 0.685 0.533
O7 0.617 0.942 0.856
O8 0.773 0.275 0.952
O9 0.816 0.520 0.248
O10 0.967 0.894 0.345

Top 10 peaks for 5° ≤ 2θ ≤ 70°, by angle:
d/Å  I/Imax  index
5.069  100.0  0 1 1
2.662  9.4  2 1 0
2.643  8.9  1 1 -2
2.360  25.9  2 0 -1
2.352  36.0  1 1 3
2.340  24.2  1 2 -1
1.838  12.8  -2 1 2
1.833  29.7  1 2 4
1.826  12.6  1 3 0
1.425  11.1  -1 3 1